Record 1
Diffraction record for Fe4Ni2Pt5. The PXRD pattern is computed, not measured: it uses a GGA-PBE-relaxed structure and Cu Kα X-rays.

Most intense lines, 2θ from 15° to 90°, sorted by position:
2θ/deg, d_spacing, I/Imax, (hkl)
22.84, 3.893, 55, 0 0 1
30.63, 2.919, 25, 1 4 0
36.70, 2.449, 22, 1 5 0
38.54, 2.336, 61, 1 4 1
39.20, 2.298, 54, 2 1 1
40.95, 2.204, 59, 2 2 1
43.67, 2.073, 100, 1 5 1
46.66, 1.947, 43, 0 0 2

Cell lengths 5.8245, 13.4960, 3.8932 Å; angles 90.00, 90.00, 90.00 degrees
Space group Pbam (No. 55)
Inequivalent atoms, fractional coordinates:
Fe 0.1073 0.1278 0.0000 [4 per cell]
Fe 0.2002 0.4535 0.0000 [4 per cell]
Ni 0.0029 0.2936 0.0000 [4 per cell]
Pt 0.0000 0.0000 0.5000 [2 per cell]
Pt 0.0931 0.5942 0.5000 [4 per cell]
Pt 0.1830 0.8048 0.5000 [4 per cell]



Record 2
Diffraction record for FeNiPt5. The PXRD pattern is computed, not measured: it uses a GGA-PBE-relaxed structure and Cu Kα X-rays.

Most intense lines, 2θ from 15° to 90°, sorted by position:
2θ/deg, d_spacing, I/Imax, (hkl)
24.11, 3.691, 17, 0 2 0
32.64, 2.743, 16, 2 0 0
40.99, 2.202, 100, 2 2 0
46.83, 1.940, 34, 2 0 2
49.38, 1.845, 15, 0 4 0
70.42, 1.337, 20, 2 4 2
82.93, 1.164, 26, 4 2 2
86.74, 1.123, 12, 2 6 0

Cell lengths 5.4822, 7.3818, 5.4919 Å; angles 90.00, 90.00, 90.00 degrees
Space group Cmmm (No. 65)
Inequivalent atoms, fractional coordinates:
Fe 0.0000 0.0000 0.0000 [2 per cell]
Ni 0.0000 0.5000 0.5000 [2 per cell]
Pt 0.0000 0.5000 0.0000 [2 per cell]
Pt 0.2500 0.2500 0.2607 [8 per cell]



Record 3
Diffraction record for Fe4Ni2Pt. The PXRD pattern is computed, not measured: it uses a GGA-PBE-relaxed structure and Cu Kα X-rays.

Most intense lines, 2θ from 15° to 90°, sorted by position:
2θ/deg, d_spacing, I/Imax, (hkl)
21.93, 4.054, 8, 2 2 0
25.77, 3.457, 11, 3 1 1
26.94, 3.310, 12, 2 2 2
31.20, 2.867, 19, 4 0 0
34.08, 2.631, 7, 3 3 1
44.71, 2.027, 100, 4 4 0
65.08, 1.433, 15, 8 0 0
82.41, 1.170, 30, 8 4 4

Cell lengths 11.4662, 11.4662, 11.4662 Å; angles 90.00, 90.00, 90.00 degrees
Space group Fd-3m (No. 227, origin choice 2)
Inequivalent atoms, fractional coordinates:
Fe 0.0000 0.0000 0.0000 [16 per cell]
Fe 0.1166 0.3750 0.3750 [48 per cell]
Ni 0.0025 0.0025 0.7475 [32 per cell]
Pt 0.0000 0.0000 0.5000 [16 per cell]



Record 4
Diffraction record for FeNi6Pt12. The PXRD pattern is computed, not measured: it uses a GGA-PBE-relaxed structure and Cu Kα X-rays.

Most intense lines, 2θ from 15° to 90°, sorted by position:
2θ/deg, d_spacing, I/Imax, (hkl)
40.57, 2.224, 34, 0 0 3
40.68, 2.218, 100, 3 2 1
47.29, 1.922, 65, 5 -3 2
69.04, 1.360, 21, 3 2 4
69.19, 1.358, 21, 1 7 0
83.26, 1.160, 13, 5 -3 5
83.43, 1.159, 38, 1 7 3
88.08, 1.109, 12, 6 4 2

Cell lengths 11.8373, 11.8373, 6.6709 Å; angles 90.00, 90.00, 120.00 degrees
Space group R-3 (No. 148, hexagonal axes)
Inequivalent atoms, fractional coordinates:
Fe 0.0000 0.0000 0.0000 [3 per cell]
Ni 0.0351 0.2835 0.3303 [18 per cell]
Pt 0.0133 0.1406 0.6661 [18 per cell]
Pt 0.0680 0.5607 0.6703 [18 per cell]



Record 5
Diffraction record for FeNi5Pt8. The PXRD pattern is computed, not measured: it uses a GGA-PBE-relaxed structure and Cu Kα X-rays.

Most intense lines, 2θ from 15° to 90°, sorted by position:
2θ/deg, d_spacing, I/Imax, (hkl)
29.70, 3.008, 65, 1 2 1
38.21, 2.355, 50, 1 0 3
38.71, 2.326, 100, 3 1 0
45.75, 1.983, 65, 1 2 3
46.00, 1.973, 50, 3 1 2
46.15, 1.967, 38, 2 3 1
61.66, 1.504, 23, 2 4 2
64.62, 1.442, 24, 4 3 1

Cell lengths 7.3515, 7.3515, 7.4589 Å; angles 90.00, 90.00, 90.00 degrees
Space group I-4 (No. 82)
Inequivalent atoms, fractional coordinates:
Fe 0.0000 0.0000 0.0000 [2 per cell]
Ni 0.0000 0.5000 0.7500 [2 per cell]
Ni 0.1108 0.2007 0.4138 [8 per cell]
Pt 0.0656 0.3310 0.0839 [8 per cell]
Pt 0.0999 0.1828 0.7491 [8 per cell]



Record 6
Diffraction record for FeNi7Sb2Pt2. The PXRD pattern is computed, not measured: it uses a GGA-PBE-relaxed structure and Cu Kα X-rays.

Most intense lines, 2θ from 15° to 90°, sorted by position:
2θ/deg, d_spacing, I/Imax, (hkl)
30.21, 2.959, 70, 1 1 2
36.29, 2.476, 86, 0 2 0
38.99, 2.310, 64, 1 1 4
41.38, 2.182, 68, 0 2 3
44.29, 2.045, 69, 1 1 5
44.40, 2.040, 69, 1 1 -6
45.01, 2.014, 62, 2 0 3
52.26, 1.750, 100, 2 2 -1

Cell lengths 4.9512, 4.9512, 14.0445 Å; angles 90.00, 99.96, 90.00 degrees
Space group C2/m (No. 12)
Inequivalent atoms, fractional coordinates:
Fe 0.0000 0.0000 0.0000 [2 per cell]
Ni 0.0000 0.5000 0.0000 [2 per cell]
Ni 0.1876 0.2500 0.8732 [8 per cell]
Ni 0.2295 0.5000 0.4609 [4 per cell]
Sb 0.1776 0.0000 0.3609 [4 per cell]
Pt 0.1307 0.5000 0.2663 [4 per cell]



Record 7
Diffraction record for Pu2Fe2Ni15. The PXRD pattern is computed, not measured: it uses a GGA-PBE-relaxed structure and Cu Kα X-rays.

Most intense lines, 2θ from 15° to 90°, sorted by position:
2θ/deg, d_spacing, I/Imax, (hkl)
30.85, 2.898, 55, 1 1 3
37.59, 2.393, 44, 3 0 0
38.81, 2.320, 27, 0 2 4
43.68, 2.072, 55, 2 2 0
43.94, 2.061, 100, 3 0 3
44.73, 2.026, 46, 0 0 6
63.64, 1.462, 30, 2 1 7
64.30, 1.449, 27, 2 2 6

Cell lengths 8.2896, 8.2896, 12.1635 Å; angles 90.00, 90.00, 120.00 degrees
Space group R-3m (No. 166, hexagonal axes)
Inequivalent atoms, fractional coordinates:
Pu 0.0000 0.0000 0.1554 [6 per cell]
Fe 0.0000 0.0000 0.4060 [6 per cell]
Ni 0.0000 0.2983 0.5000 [18 per cell]
Ni 0.0000 0.5000 0.0000 [9 per cell]
Ni 0.0022 0.5011 0.3452 [18 per cell]



Record 8
Diffraction record for Rb2FeNiS4. The PXRD pattern is computed, not measured: it uses a GGA-PBE-relaxed structure and Cu Kα X-rays.

Most intense lines, 2θ from 15° to 90°, sorted by position:
2θ/deg, d_spacing, I/Imax, (hkl)
15.18, 5.835, 53, 0 0 4
26.46, 3.368, 100, 0 2 6
28.33, 3.150, 78, 1 3 3
32.29, 2.773, 47, 1 3 5
35.96, 2.498, 29, 2 2 0
40.78, 2.213, 37, 2 0 6
46.74, 1.944, 27, 0 6 6
53.17, 1.723, 27, 2 6 0

Cell lengths 5.3795, 13.4578, 23.3527 Å; angles 90.00, 90.00, 90.00 degrees
Space group Fddd (No. 70, origin choice 2)
Inequivalent atoms, fractional coordinates:
Rb 0.1250 0.1250 0.3039 [16 per cell]
Fe 0.1250 0.1250 0.1250 [8 per cell]
Ni 0.1250 0.1250 0.6250 [8 per cell]
S 0.1194 0.2841 0.4270 [32 per cell]



Record 9
Diffraction record for Fe6ReNi23. The PXRD pattern is computed, not measured: it uses a GGA-PBE-relaxed structure and Cu Kα X-rays.

Most intense lines, 2θ from 15° to 90°, sorted by position:
2θ/deg, d_spacing, I/Imax, (hkl)
17.69, 5.014, 6, 1 1 0
28.25, 3.159, 7, 2 0 2
31.30, 2.857, 4, 1 1 4
44.55, 2.034, 100, 2 2 4
51.55, 1.773, 32, 4 0 0
52.64, 1.739, 15, 0 0 8
75.90, 1.254, 9, 4 4 0
76.79, 1.241, 18, 4 0 8

Cell lengths 7.0910, 7.0910, 13.9099 Å; angles 90.00, 90.00, 90.00 degrees
Space group I4/mmm (No. 139)
Inequivalent atoms, fractional coordinates:
Fe 0.0000 0.0000 0.2498 [4 per cell]
Fe 0.2464 0.2464 0.0000 [8 per cell]
Re 0.0000 0.0000 0.5000 [2 per cell]
Ni 0.0000 0.0000 0.0000 [2 per cell]
Ni 0.0000 0.2519 0.1272 [16 per cell]
Ni 0.0000 0.2553 0.3720 [16 per cell]
Ni 0.0000 0.5000 0.0000 [4 per cell]
Ni 0.2500 0.2500 0.2500 [8 per cell]



Record 10
Diffraction record for Fe2ReNi9. The PXRD pattern is computed, not measured: it uses a GGA-PBE-relaxed structure and Cu Kα X-rays.

Most intense lines, 2θ from 15° to 90°, sorted by position:
2θ/deg, d_spacing, I/Imax, (hkl)
16.55, 5.356, 6, 0 0 2
24.93, 3.572, 5, 1 0 0
26.30, 3.389, 7, 1 0 1
30.07, 2.972, 6, 1 0 2
35.54, 2.526, 4, 1 1 0
43.90, 2.062, 100, 1 1 3
51.15, 1.786, 47, 2 0 0
75.24, 1.263, 28, 2 2 0

Cell lengths 3.5725, 3.5725, 10.7124 Å; angles 90.00, 90.00, 90.00 degrees
Space group P4/mmm (No. 123)
Inequivalent atoms, fractional coordinates:
Fe 0.0000 0.0000 0.1614 [2 per cell]
Re 0.0000 0.0000 0.5000 [1 per cell]
Ni 0.0000 0.5000 0.0000 [2 per cell]
Ni 0.0000 0.5000 0.3316 [4 per cell]
Ni 0.5000 0.5000 0.1653 [2 per cell]
Ni 0.5000 0.5000 0.5000 [1 per cell]



Record 11
Diffraction record for FeRe2NiRh. The PXRD pattern is computed, not measured: it uses a GGA-PBE-relaxed structure and Cu Kα X-rays.

Most intense lines, 2θ from 15° to 90°, sorted by position:
2θ/deg, d_spacing, I/Imax, (hkl)
21.15, 4.200, 31, 0 0 1
35.98, 2.496, 100, 1 1 1
41.14, 2.194, 56, 2 0 0
43.07, 2.100, 25, 0 0 2
59.58, 1.552, 19, 2 2 0
61.08, 1.517, 35, 2 0 2
71.61, 1.318, 27, 3 1 1
76.30, 1.248, 18, 2 2 2

Cell lengths 4.3887, 4.3887, 4.2000 Å; angles 90.00, 90.00, 90.00 degrees
Space group P4/mmm (No. 123)
Inequivalent atoms, fractional coordinates:
Fe 0.0000 0.0000 0.0000 [1 per cell]
Re 0.0000 0.5000 0.5000 [2 per cell]
Ni 0.0000 0.0000 0.5000 [1 per cell]
Rh 0.5000 0.5000 0.0000 [1 per cell]



Record 12
Diffraction record for FeNiRh. The PXRD pattern is computed, not measured: it uses a GGA-PBE-relaxed structure and Cu Kα X-rays.

Most intense lines, 2θ from 15° to 90°, sorted by position:
2θ/deg, d_spacing, I/Imax, (hkl)
27.32, 3.265, 7, 0 1 1
42.49, 2.127, 100, 1 1 0
48.70, 1.870, 33, 1 0 3
51.00, 1.791, 14, 0 2 0
71.28, 1.323, 5, 0 0 6
71.38, 1.321, 5, 2 0 0
73.18, 1.293, 18, 1 2 3
86.71, 1.123, 23, 2 1 3

Cell lengths 2.6428, 3.5816, 7.9382 Å; angles 90.00, 90.00, 90.00 degrees
Space group Imm2 (No. 44)
Inequivalent atoms, fractional coordinates:
Fe 0.0000 0.0000 0.0000 [2 per cell]
Ni 0.0000 0.0000 0.6603 [2 per cell]
Rh 0.0000 0.0000 0.3304 [2 per cell]



Repeat the eighth record exactly.
Diffraction record for Rb2FeNiS4. The PXRD pattern is computed, not measured: it uses a GGA-PBE-relaxed structure and Cu Kα X-rays.

Most intense lines, 2θ from 15° to 90°, sorted by position:
2θ/deg, d_spacing, I/Imax, (hkl)
15.18, 5.835, 53, 0 0 4
26.46, 3.368, 100, 0 2 6
28.33, 3.150, 78, 1 3 3
32.29, 2.773, 47, 1 3 5
35.96, 2.498, 29, 2 2 0
40.78, 2.213, 37, 2 0 6
46.74, 1.944, 27, 0 6 6
53.17, 1.723, 27, 2 6 0

Cell lengths 5.3795, 13.4578, 23.3527 Å; angles 90.00, 90.00, 90.00 degrees
Space group Fddd (No. 70, origin choice 2)
Inequivalent atoms, fractional coordinates:
Rb 0.1250 0.1250 0.3039 [16 per cell]
Fe 0.1250 0.1250 0.1250 [8 per cell]
Ni 0.1250 0.1250 0.6250 [8 per cell]
S 0.1194 0.2841 0.4270 [32 per cell]



Question: What is the formula in the twelfth record?
Answer: FeNiRh